Computed powder XRD pattern
Compound: AcPr9Pb2
Radiation: Cu Kα, 1.54184 Å
Structure: DFT lattice parameters and positions (PBE)

Top 10 peaks for 10 to 90 degrees two-theta, by intensity:
two_theta	I (rel.)	index
30.1	100	1 1 3
35.3	34	2 0 0
60.2	28	3 1 3
49.9	23	2 0 6
34.1	17	0 0 6
58.6	13	1 1 9
50.8	12	2 2 0
62.6	12	2 2 6
81.2	10	3 1 9
82.6	6	3 3 3

Structure:
Lattice parameters (Å, degrees): 5.0837 5.0837 15.7583 90.00 90.00 90.00
Element x y z (fractional)
1 Ac 0.0000 0.0000 0.0000
2 Pr 0.0000 0.5000 0.1791
3 Pr 0.0000 0.5000 0.5000
4 Pr 0.0000 0.5000 0.8209
5 Pr 0.5000 0.0000 0.1791
6 Pr 0.5000 0.0000 0.5000
7 Pr 0.5000 0.0000 0.8209
8 Pr 0.5000 0.5000 0.0000
9 Pr 0.5000 0.5000 0.3423
10 Pr 0.5000 0.5000 0.6577
11 Pb 0.0000 0.0000 0.3388
12 Pb 0.0000 0.0000 0.6612